B7C3: computed XRD peak list (a wavelength of 1.5418 Å), based on DFT lattice parameters and positions (PBE).
Peak positions follow from Bragg's law for the DFT cell and can differ from measured ones.

Main lines, in order of rising 2θ (2θ from 15° to 90°):
Position (°2θ), I (rel.)
20.30, 45
39.89, 100
44.07, 59
53.19, 14
67.68, 37
78.63, 15

Lattice parameters (Å, degrees): 6.3060 6.3060 6.3060 156.47 50.59 135.89
Element x y z (fractional)
B 0.0000 0.0000 0.0000
B 0.0081 0.2968 0.7113
B 0.2156 0.0482 0.1674
B 0.2593 0.3802 0.8791
B 0.5011 0.3802 0.1209
B 0.5855 0.2968 0.2887
B 0.8808 0.0482 0.8326
C 0.4664 0.0731 0.3933
C 0.6799 0.0731 0.6067
C 0.7532 0.2532 0.5000

Pr3Ga4Pt2: computed XRD peak list (a wavelength of 1.5418 Å), based on DFT lattice parameters and positions (PBE).
Peak positions follow from Bragg's law for the DFT cell and can differ from measured ones.

Main lines, in order of rising 2θ (2θ from 15° to 90°):
Position (°2θ), I (rel.)
32.22, 43
32.82, 77
33.20, 88
39.69, 100
40.70, 52
64.52, 36

Lattice parameters (Å, degrees): 5.9874 5.9874 8.7201 109.38 109.38 43.46
Element x y z (fractional)
Pr 0.0000 0.0000 0.0000
Pr 0.3219 0.3219 0.3548
Pr 0.6781 0.6781 0.6452
Ga 0.0222 0.0222 0.3585
Ga 0.2561 0.2561 0.9168
Ga 0.7439 0.7439 0.0832
Ga 0.9778 0.9778 0.6415
Pt 0.3965 0.3965 0.7296
Pt 0.6035 0.6035 0.2704

AlCuHg2Te4: computed XRD peak list (a wavelength of 1.5418 Å), based on DFT lattice parameters and positions (PBE).
Peak positions follow from Bragg's law for the DFT cell and can differ from measured ones.

Main lines, in order of rising 2θ (2θ from 15° to 90°):
Position (°2θ), I (rel.)
22.97, 100
24.04, 82
25.97, 68
40.12, 88
43.48, 91
47.31, 50

Lattice parameters (Å, degrees): 8.9158 7.8079 7.4050 90.00 90.00 90.00
Element x y z (fractional)
Al 0.0000 0.1661 0.0000
Al 0.5000 0.8339 0.5000
Cu 0.0000 0.8439 0.4994
Cu 0.5000 0.1561 0.9994
Hg 0.2475 0.6707 0.0067
Hg 0.2525 0.3293 0.5067
Hg 0.7475 0.3293 0.5067
Hg 0.7525 0.6707 0.0067
Te 0.0000 0.1478 0.3595
Te 0.0000 0.8558 0.8523
Te 0.2447 0.6832 0.3953
Te 0.2553 0.3168 0.8953
Te 0.5000 0.1442 0.3523
Te 0.5000 0.8522 0.8595
Te 0.7447 0.3168 0.8953
Te 0.7553 0.6832 0.3953

PuZrBi3: computed XRD peak list (a wavelength of 1.5418 Å), based on DFT lattice parameters and positions (PBE).
Peak positions follow from Bragg's law for the DFT cell and can differ from measured ones.

Main lines, in order of rising 2θ (2θ from 15° to 90°):
Position (°2θ), I (rel.)
30.21, 100
32.77, 34
33.18, 40
33.74, 54
38.70, 45
64.84, 34

Lattice parameters (Å, degrees): 13.5032 6.5857 6.5764 90.00 90.00 90.00
Element x y z (fractional)
Pu 0.1829 0.0115 0.2500
Pu 0.1829 0.4885 0.7500
Pu 0.8171 0.5115 0.2500
Pu 0.8171 0.9885 0.7500
Zr 0.4005 0.7500 0.0000
Zr 0.4005 0.7500 0.5000
Zr 0.5995 0.2500 0.0000
Zr 0.5995 0.2500 0.5000
Bi 0.0041 0.7500 0.0000
Bi 0.0041 0.7500 0.5000
Bi 0.2496 0.5057 0.2500
Bi 0.2496 0.9943 0.7500
Bi 0.4204 0.1312 0.2500
Bi 0.4204 0.3688 0.7500
Bi 0.5796 0.6312 0.2500
Bi 0.5796 0.8688 0.7500
Bi 0.7504 0.0057 0.2500
Bi 0.7504 0.4943 0.7500
Bi 0.9959 0.2500 0.0000
Bi 0.9959 0.2500 0.5000

BaLiAl3P2H2O14: computed XRD peak list (a wavelength of 1.5418 Å), based on DFT lattice parameters and positions (PBE).
Peak positions follow from Bragg's law for the DFT cell and can differ from measured ones.

Main lines, in order of rising 2θ (2θ from 15° to 90°):
Position (°2θ), I (rel.)
15.74, 100
24.99, 47
26.95, 32
28.41, 59
28.92, 44
35.93, 49

Lattice parameters (Å, degrees): 7.1552 7.1552 7.5974 118.39 118.39 55.08
Element x y z (fractional)
Ba 0.0000 0.0000 0.0000
Li 0.5416 0.5416 0.2380
Al 0.0029 0.0029 0.5097
Al 0.0078 0.4992 0.5049
Al 0.4992 0.0078 0.5049
P 0.2836 0.2836 0.8729
P 0.7196 0.7196 0.1278
H 0.3243 0.3243 0.3438
H 0.6736 0.6736 0.6548
O 0.0235 0.7903 0.6000
O 0.1244 0.5042 0.7841
O 0.1406 0.1406 0.7872
O 0.2113 0.9778 0.4094
O 0.3129 0.3129 0.4622
O 0.3656 0.3656 0.1100
O 0.4955 0.8646 0.2168
O 0.5042 0.1244 0.7841
O 0.6504 0.6504 0.8948
O 0.6813 0.6813 0.5312
O 0.7903 0.0235 0.6000
O 0.8645 0.8645 0.2337
O 0.8646 0.4955 0.2168
O 0.9778 0.2113 0.4094

NdPu2Os: computed XRD peak list (a wavelength of 1.5418 Å), based on DFT lattice parameters and positions (PBE).
Peak positions follow from Bragg's law for the DFT cell and can differ from measured ones.

Main lines, in order of rising 2θ (2θ from 15° to 90°):
Position (°2θ), I (rel.)
32.38, 100
38.01, 77
50.77, 29
53.83, 14
65.15, 28
68.68, 14

Lattice parameters (Å, degrees): 4.7343 4.7343 14.9789 90.00 90.00 120.00
Element x y z (fractional)
Nd 0.0000 0.0000 0.0000
Nd 0.3333 0.6667 0.6667
Nd 0.6667 0.3333 0.3333
Pu 0.0000 0.0000 0.2288
Pu 0.0000 0.0000 0.7712
Pu 0.3333 0.6667 0.4379
Pu 0.3333 0.6667 0.8954
Pu 0.6667 0.3333 0.1046
Pu 0.6667 0.3333 0.5621
Os 0.0000 0.0000 0.5000
Os 0.3333 0.6667 0.1667
Os 0.6667 0.3333 0.8333

LaNi9Ge4: computed XRD peak list (a wavelength of 1.5418 Å), based on DFT lattice parameters and positions (PBE).
Peak positions follow from Bragg's law for the DFT cell and can differ from measured ones.

Main lines, in order of rising 2θ (2θ from 15° to 90°):
Position (°2θ), I (rel.)
35.48, 34
37.89, 50
38.72, 100
46.07, 78
47.01, 47
47.48, 53

Lattice parameters (Å, degrees): 8.1760 8.1760 8.1760 121.41 121.41 87.58
Element x y z (fractional)
La 0.2500 0.2500 0.0000
La 0.7500 0.7500 0.0000
Ni 0.0000 0.5000 0.5000
Ni 0.0568 0.5568 0.2507
Ni 0.0672 0.7955 0.8627
Ni 0.1939 0.9432 0.5000
Ni 0.2045 0.0672 0.2717
Ni 0.2955 0.5672 0.8627
Ni 0.3061 0.8061 0.7493
Ni 0.4328 0.2955 0.7283
Ni 0.4432 0.6939 0.5000
Ni 0.5000 0.0000 0.5000
Ni 0.5568 0.3061 0.5000
Ni 0.5672 0.7045 0.2717
Ni 0.6939 0.1939 0.2507
Ni 0.7045 0.4328 0.1373
Ni 0.7955 0.9328 0.7283
Ni 0.8061 0.0568 0.5000
Ni 0.9328 0.2045 0.1373
Ni 0.9432 0.4432 0.7493
Ge 0.0517 0.2051 0.5000
Ge 0.2051 0.7051 0.1534
Ge 0.2949 0.4483 0.5000
Ge 0.4483 0.9483 0.1534
Ge 0.5517 0.0517 0.8466
Ge 0.7051 0.5517 0.5000
Ge 0.7949 0.2949 0.8466
Ge 0.9483 0.7949 0.5000

Ho3Tm: computed XRD peak list (a wavelength of 1.5418 Å), based on DFT lattice parameters and positions (PBE).
Peak positions follow from Bragg's law for the DFT cell and can differ from measured ones.

Main lines, in order of rising 2θ (2θ from 15° to 90°):
Position (°2θ), I (rel.)
28.73, 24
32.24, 24
33.03, 100
50.89, 20
58.00, 20
61.54, 23

Lattice parameters (Å, degrees): 3.5886 5.5526 6.2149 90.00 90.00 90.00
Element x y z (fractional)
Ho 0.0000 0.0000 0.0000
Ho 0.0000 0.5000 0.3344
Ho 0.5000 0.5000 0.8339
Tm 0.5000 0.0000 0.5008